# Na4SnO4
Computed PXRD pattern, Cu Kα (λ = 1.5418 Å). Input: a structure optimized by DFT (GGA-PBE).

The 10 most intense peaks (2θ = 10–90°), sorted by position:
Position (°2θ)  Rel. int.
18.94  100.0
24.03  45.6
28.17  38.5
29.28  67.3
31.00  47.3
32.22  43.8
33.56  72.7
41.59  33.2
50.55  35.8
52.57  31.9

Cell and atoms:
Lattice parameters (Å, degrees): 6.343 6.343 6.961 90.00 90.00 87.16
Element x y z (fractional)
Na 0.066 0.633 0.750
Na 0.339 0.339 0.000
Na 0.339 0.339 0.500
Na 0.367 0.934 0.750
Na 0.633 0.066 0.250
Na 0.661 0.661 0.000
Na 0.661 0.661 0.500
Na 0.934 0.367 0.250
Sn 0.166 0.834 0.250
Sn 0.834 0.166 0.750
O 0.135 0.240 0.750
O 0.240 0.135 0.250
O 0.295 0.705 0.012
O 0.295 0.705 0.488
O 0.705 0.295 0.512
O 0.705 0.295 0.988
O 0.760 0.865 0.750
O 0.865 0.760 0.250

=====

# Na8SnO6
Computed PXRD pattern, Cu Kα (λ = 1.5418 Å). Input: a structure optimized by DFT (GGA-PBE).

The 10 most intense peaks (2θ = 10–90°), sorted by position:
Position (°2θ)  Rel. int.
15.75  65.4
20.95  100.0
27.46  31.5
28.33  29.6
30.82  41.1
31.98  46.6
34.79  42.5
44.87  45.3
45.13  24.8
48.54  47.9

Cell and atoms:
Lattice parameters (Å, degrees): 6.497 6.497 12.904 90.00 90.00 120.00
Element x y z (fractional)
Na 0.000 0.301 0.000
Na 0.000 0.399 0.356
Na 0.000 0.601 0.856
Na 0.000 0.699 0.500
Na 0.301 0.000 0.000
Na 0.301 0.301 0.500
Na 0.333 0.667 0.141
Na 0.333 0.667 0.641
Na 0.399 0.000 0.356
Na 0.399 0.399 0.856
Na 0.601 0.000 0.856
Na 0.601 0.601 0.356
Na 0.667 0.333 0.141
Na 0.667 0.333 0.641
Na 0.699 0.000 0.500
Na 0.699 0.699 0.000
Sn 0.000 0.000 0.227
Sn 0.000 0.000 0.727
O 0.000 0.000 0.385
O 0.000 0.000 0.885
O 0.000 0.293 0.182
O 0.000 0.707 0.682
O 0.293 0.000 0.182
O 0.293 0.293 0.682
O 0.333 0.667 0.451
O 0.333 0.667 0.951
O 0.667 0.333 0.451
O 0.667 0.333 0.951
O 0.707 0.000 0.682
O 0.707 0.707 0.182